1.
This entry pairs a crystal structure of Cs3RbCd6 with its simulated powder X-ray diffraction pattern. Radiation: λ = 1.5418 Å (Cu Kα). Structure: a DFT-relaxed cell (GGA-PBE, Alexandria).
Kinematic intensities with the Lorentz-polarization factor, no thermal factor.

Peak list (10 most intense, 2θ from 10° to 80°, low angle first)
| Position (°2θ) | I (rel.) | index |
| --- | --- | --- |
| 13.44 | 73 | 2 0 -1 |
| 14.59 | 50 | 2 0 0 |
| 21.27 | 53 | 1 1 -2 |
| 21.42 | 58 | 0 2 0 |
| 24.48 | 52 | 3 1 0 |
| 26.28 | 71 | 4 0 -1 |
| 30.35 | 100 | 2 0 2 |
| 30.47 | 47 | 2 2 1 |
| 35.92 | 53 | 1 3 1 |
| 39.62 | 74 | 3 3 -2 |

Atomic structure:
a b c (Å): 13.662 8.283 9.741
angles (deg): 90.00 117.27 90.00
Space group C2/m (No. 12)
Inequivalent atoms, fractional coordinates:
Cs 0.000 0.000 0.000 (multiplicity 2)
Cs 0.102 0.500 0.840 (multiplicity 4)
Rb 0.000 0.000 0.500 (multiplicity 2)
Cd 0.211 0.322 0.290 (multiplicity 8)
Cd 0.247 0.500 0.580 (multiplicity 4)

***

2.
This entry pairs a crystal structure of Ce2Si7Pd12 with its simulated powder X-ray diffraction pattern. Radiation: λ = 1.5418 Å (Cu Kα). Structure: a DFT-relaxed cell (GGA-PBE, Alexandria).
Kinematic intensities with the Lorentz-polarization factor, no thermal factor.

Peak list (10 most intense, 2θ from 10° to 80°, low angle first)
| Position (°2θ) | I (rel.) | index |
| --- | --- | --- |
| 27.26 | 15 | 1 2 0 |
| 35.76 | 100 | 1 2 1 |
| 35.95 | 7 | 2 2 0 |
| 44.25 | 10 | 4 -3 1 |
| 45.70 | 12 | 2 3 0 |
| 46.34 | 16 | 0 0 2 |
| 48.19 | 17 | 4 1 0 |
| 61.43 | 8 | 6 -2 1 |
| 69.08 | 10 | 4 1 2 |
| 78.92 | 10 | 3 -1 3 |

Atomic structure:
a b c (Å): 9.9931 9.9931 3.9187
angles (deg): 90.00 90.00 120.00
Space group P-3 (No. 147)
Inequivalent atoms, fractional coordinates:
Ce 0.3333 0.6667 0.2536 (multiplicity 2)
Si 0.0000 0.0000 0.0000 (multiplicity 1)
Si 0.1160 0.4052 0.7502 (multiplicity 6)
Pd 0.0604 0.6195 0.7484 (multiplicity 6)
Pd 0.1112 0.8547 0.2508 (multiplicity 6)

***

3.
This entry pairs a crystal structure of Ce3Th2Pb4 with its simulated powder X-ray diffraction pattern. Radiation: λ = 1.5418 Å (Cu Kα). Structure: a DFT-relaxed cell (GGA-PBE, Alexandria).
Kinematic intensities with the Lorentz-polarization factor, no thermal factor.

Peak list (10 most intense, 2θ from 10° to 80°, low angle first)
| Position (°2θ) | I (rel.) | index |
| --- | --- | --- |
| 29.42 | 100 | 3 1 1 |
| 29.92 | 23 | 4 0 -2 |
| 32.69 | 76 | 3 1 -2 |
| 32.80 | 23 | 6 0 -1 |
| 33.00 | 39 | 5 1 0 |
| 33.18 | 28 | 1 1 2 |
| 35.66 | 47 | 0 2 0 |
| 39.44 | 14 | 0 0 3 |
| 47.22 | 14 | 4 2 -2 |
| 49.23 | 15 | 6 2 -1 |

Atomic structure:
a b c (Å): 16.581 5.035 7.060
angles (deg): 90.00 103.88 90.00
Space group C2/m (No. 12)
Inequivalent atoms, fractional coordinates:
Ce 0.000 0.000 0.000 (multiplicity 2)
Ce 0.111 0.000 0.589 (multiplicity 4)
Th 0.167 0.500 0.058 (multiplicity 4)
Pb 0.012 0.500 0.291 (multiplicity 4)
Pb 0.250 0.000 0.326 (multiplicity 4)

***

4.
This entry pairs a crystal structure of Ac4Nd2Tm with its simulated powder X-ray diffraction pattern. Radiation: λ = 1.5418 Å (Cu Kα). Structure: a DFT-relaxed cell (GGA-PBE, Alexandria).
Kinematic intensities with the Lorentz-polarization factor, no thermal factor.

Peak list (10 most intense, 2θ from 10° to 80°, low angle first)
| Position (°2θ) | I (rel.) | index |
| --- | --- | --- |
| 25.94 | 86 | 2 2 2 |
| 26.32 | 59 | 2 4 0 |
| 28.51 | 58 | 0 0 4 |
| 29.52 | 100 | 0 6 2 |
| 39.18 | 40 | 2 4 4 |
| 48.95 | 14 | 2 2 6 |
| 50.66 | 27 | 2 10 2 |
| 50.76 | 19 | 4 6 2 |
| 51.12 | 21 | 0 6 6 |
| 66.99 | 21 | 2 10 6 |

Atomic structure:
a b c (Å): 8.947 20.735 12.525
angles (deg): 90.00 90.00 90.00
Space group Fdd2 (No. 43)
Inequivalent atoms, fractional coordinates:
Ac 0.116 0.338 0.000 (multiplicity 16)
Ac 0.123 0.080 0.232 (multiplicity 16)
Nd 0.086 0.266 0.743 (multiplicity 16)
Tm 0.000 0.000 0.986 (multiplicity 8)

***

5.
This entry pairs a crystal structure of Y2Si4Pd with its simulated powder X-ray diffraction pattern. Radiation: λ = 1.5418 Å (Cu Kα). Structure: a DFT-relaxed cell (GGA-PBE, Alexandria).
Kinematic intensities with the Lorentz-polarization factor, no thermal factor.

Peak list (10 most intense, 2θ from 10° to 80°, low angle first)
| Position (°2θ) | I (rel.) | index |
| --- | --- | --- |
| 12.02 | 36 | 0 0 2 |
| 26.60 | 100 | 1 0 3 |
| 27.51 | 86 | 1 1 0 |
| 36.25 | 33 | 1 0 5 |
| 36.61 | 26 | 0 0 6 |
| 39.30 | 63 | 2 0 0 |
| 46.40 | 22 | 1 1 6 |
| 48.09 | 39 | 2 1 3 |
| 54.79 | 31 | 2 0 6 |
| 56.79 | 21 | 2 2 0 |

Atomic structure:
a b c (Å): 4.585 4.585 14.729
angles (deg): 90.00 90.00 90.00
Space group I4/mmm (No. 139)
Inequivalent atoms, fractional coordinates:
Y 0.000 0.000 0.142 (multiplicity 4)
Si 0.000 0.000 0.332 (multiplicity 4)
Si 0.000 0.500 0.000 (multiplicity 4)
Pd 0.000 0.000 0.500 (multiplicity 2)